Diffraction record for CuSe3I3. The X-ray diffraction stick pattern is theoretical, not measured: it uses a structure optimized by DFT (PBE) and Cu Kα, 1.54184 Å.
No peak broadening, texture or thermal motion is included.

Peak list (6 most intense, 2θ = 10–90°, low angle first)
h k l	2theta	d [Å]	Rel. int.
0 1 0	10.13	8.736	69
0 1 1	15.23	5.819	100
1 0 1	19.92	4.458	92
1 -2 1	23.41	3.800	53
0 2 1	24.13	3.688	92
1 1 -3	28.51	3.131	67

Atomic structure:
a b c (Å): 7.129 9.281 10.031
angles (deg): 93.99 110.51 106.56
Space group P-1 (No. 2)
Inequivalent atoms, fractional coordinates:
Cu 0.087 0.105 0.357 [2 per cell]
Se 0.181 0.958 0.544 [2 per cell]
Se 0.260 0.365 0.739 [2 per cell]
Se 0.429 0.189 0.733 [2 per cell]
I 0.089 0.735 0.809 [2 per cell]
I 0.104 0.309 0.939 [2 per cell]
I 0.412 0.138 0.294 [2 per cell]

***

Diffraction record for Cu3Se2I. The X-ray diffraction stick pattern is theoretical, not measured: it uses a structure optimized by DFT (PBE) and Cu Kα, 1.54184 Å.
No peak broadening, texture or thermal motion is included.

Peak list (6 most intense, 2θ = 10–90°, low angle first)
h k l	2theta	d [Å]	Rel. int.
1 3 -1	27.13	3.287	100
0 0 2	27.23	3.275	35
2 0 2	44.86	2.020	30
3 3 -1	45.10	2.010	30
1 3 -3	45.29	2.002	31
2 6 0	53.17	1.723	18

Atomic structure:
a b c (Å): 6.954 12.122 6.915
angles (deg): 90.00 108.72 90.00
Space group Cc (No. 9)
Inequivalent atoms, fractional coordinates:
Cu 0.000 0.083 0.000 [4 per cell]
Cu 0.047 0.235 0.503 [4 per cell]
Cu 0.058 0.399 0.038 [4 per cell]
Se 0.407 0.255 0.640 [4 per cell]
Se 0.414 0.417 0.138 [4 per cell]
I 0.408 0.085 0.137 [4 per cell]

***

Diffraction record for Cu3SeI. The X-ray diffraction stick pattern is theoretical, not measured: it uses a structure optimized by DFT (PBE) and Cu Kα, 1.54184 Å.
No peak broadening, texture or thermal motion is included.

Peak list (6 most intense, 2θ = 10–90°, low angle first)
h k l	2theta	d [Å]	Rel. int.
0 0 1	11.97	7.393	100
0 0 2	24.08	3.696	33
1 2 0	42.53	2.125	35
1 1 3	44.02	2.057	40
0 1 -3	44.49	2.036	31
1 0 -3	44.93	2.017	33

Atomic structure:
a b c (Å): 4.003 4.269 7.399
angles (deg): 87.66 88.45 62.69
Space group P1 (No. 1)
Inequivalent atoms, fractional coordinates:
Cu 0.000 0.000 0.000 [1 per cell]
Cu 0.301 0.376 0.108 [1 per cell]
Cu 0.692 0.630 0.864 [1 per cell]
Se 0.598 0.757 0.183 [1 per cell]
I 0.871 0.098 0.656 [1 per cell]

***

Diffraction record for Cu2TeSe2I. The X-ray diffraction stick pattern is theoretical, not measured: it uses a structure optimized by DFT (PBE) and Cu Kα, 1.54184 Å.
No peak broadening, texture or thermal motion is included.

Peak list (6 most intense, 2θ = 10–90°, low angle first)
h k l	2theta	d [Å]	Rel. int.
1 0 -1	13.68	6.471	64
1 1 1	25.25	3.527	100
2 0 -3	32.82	2.729	41
1 0 -4	36.59	2.456	36
1 2 2	44.26	2.047	39
2 2 -2	45.31	2.001	49

Atomic structure:
a b c (Å): 7.106 5.095 9.835
angles (deg): 90.00 106.73 90.00
Space group P2_1/m (No. 11)
Inequivalent atoms, fractional coordinates:
Cu 0.151 0.005 0.160 [4 per cell]
Te 0.240 0.750 0.491 [2 per cell]
Se 0.110 0.250 0.379 [2 per cell]
Se 0.428 0.750 0.294 [2 per cell]
I 0.200 0.250 0.932 [2 per cell]

***

Diffraction record for CuSiI4. The X-ray diffraction stick pattern is theoretical, not measured: it uses a structure optimized by DFT (PBE) and Cu Kα, 1.54184 Å.
No peak broadening, texture or thermal motion is included.

Peak list (6 most intense, 2θ = 10–90°, low angle first)
h k l	2theta	d [Å]	Rel. int.
0 0 2	13.88	6.379	13
1 1 2	24.19	3.680	100
0 2 0	27.97	3.190	22
2 2 0	40.01	2.253	54
1 3 2	47.26	1.923	30
3 1 2	47.39	1.918	15

Atomic structure:
a b c (Å): 6.359 6.380 12.763
angles (deg): 90.00 90.00 90.00
Space group P222 (No. 16)
Inequivalent atoms, fractional coordinates:
Cu 0.000 0.000 0.000 [1 per cell]
Cu 0.500 0.000 0.500 [1 per cell]
Si 0.000 0.000 0.500 [1 per cell]
Si 0.000 0.500 0.000 [1 per cell]
I 0.234 0.251 0.117 [4 per cell]
I 0.252 0.233 0.618 [4 per cell]

***

Diffraction record for Sm6CuI8. The X-ray diffraction stick pattern is theoretical, not measured: it uses a structure optimized by DFT (PBE) and Cu Kα, 1.54184 Å.
No peak broadening, texture or thermal motion is included.

Peak list (6 most intense, 2θ = 10–90°, low angle first)
h k l	2theta	d [Å]	Rel. int.
2 -1 6	28.14	3.172	100
2 -1 9	33.27	2.693	11
1 1 12	39.45	2.284	34
3 0 0	40.96	2.203	31
2 2 6	50.43	1.810	16
5 -1 6	66.91	1.398	11

Atomic structure:
a b c (Å): 7.6330 7.6330 34.2102
angles (deg): 90.00 90.00 120.00
Space group R-3 (No. 148, hexagonal axes)
Inequivalent atoms, fractional coordinates:
Sm 0.0000 0.2948 0.0491 [18 per cell]
Cu 0.0000 0.0000 0.0000 [3 per cell]
I 0.0000 0.0000 0.3333 [6 per cell]
I 0.0001 0.3512 0.8938 [18 per cell]

***

Diffraction record for CuSnI3. The X-ray diffraction stick pattern is theoretical, not measured: it uses a structure optimized by DFT (PBE) and Cu Kα, 1.54184 Å.
No peak broadening, texture or thermal motion is included.

Peak list (6 most intense, 2θ = 10–90°, low angle first)
h k l	2theta	d [Å]	Rel. int.
0 4 0	13.88	6.382	44
1 1 1	23.82	3.735	28
1 3 1	25.82	3.451	100
0 6 2	32.74	2.736	36
1 4 2	35.16	2.552	32
1 3 3	44.45	2.038	36

Atomic structure:
a b c (Å): 4.447 25.530 7.143
angles (deg): 90.00 90.00 90.00
Space group Ama2 (No. 40)
Inequivalent atoms, fractional coordinates:
Cu 0.250 0.117 0.000 [4 per cell]
Sn 0.250 0.336 0.091 [4 per cell]
I 0.250 0.103 0.364 [4 per cell]
I 0.250 0.215 0.872 [4 per cell]
I 0.250 0.427 0.370 [4 per cell]

***

Diffraction record for Cu2TcI. The X-ray diffraction stick pattern is theoretical, not measured: it uses a structure optimized by DFT (PBE) and Cu Kα, 1.54184 Å.
No peak broadening, texture or thermal motion is included.

Peak list (6 most intense, 2θ = 10–90°, low angle first)
h k l	2theta	d [Å]	Rel. int.
1 0 -1	26.83	3.323	89
1 0 2	32.14	2.785	69
1 -1 4	41.55	2.173	69
-1 2 1	41.97	2.153	100
-1 2 2	45.74	1.983	61
2 -1 0	48.88	1.863	85

Atomic structure:
a b c (Å): 3.726 4.729 10.818
angles (deg): 99.49 90.16 113.17
Space group P1 (No. 1)
Inequivalent atoms, fractional coordinates:
Cu 0.000 0.000 0.000 [1 per cell]
Cu 0.043 0.092 0.775 [1 per cell]
Cu 0.383 0.768 0.852 [1 per cell]
Cu 0.606 0.208 0.158 [1 per cell]
Tc 0.303 0.604 0.075 [1 per cell]
Tc 0.700 0.402 0.945 [1 per cell]
I 0.236 0.469 0.622 [1 per cell]
I 0.877 0.757 0.299 [1 per cell]

***

Diffraction record for Cu2TcI. The X-ray diffraction stick pattern is theoretical, not measured: it uses a structure optimized by DFT (PBE) and Cu Kα, 1.54184 Å.
No peak broadening, texture or thermal motion is included.

Peak list (6 most intense, 2θ = 10–90°, low angle first)
h k l	2theta	d [Å]	Rel. int.
1 0 -1	25.21	3.533	59
1 0 1	25.41	3.505	52
-1 1 3	43.10	2.099	51
1 1 -4	43.25	2.092	50
0 2 -1	43.54	2.079	100
1 -1 4	43.69	2.072	49

Atomic structure:
a b c (Å): 3.711 4.158 11.278
angles (deg): 100.34 90.74 90.01
Space group P-1 (No. 2)
Inequivalent atoms, fractional coordinates:
Cu 0.241 0.394 0.281 [2 per cell]
Cu 0.253 0.535 0.572 [2 per cell]
Tc 0.247 0.965 0.428 [2 per cell]
I 0.237 0.830 0.149 [2 per cell]

***

Diffraction record for Cu2Te4I. The X-ray diffraction stick pattern is theoretical, not measured: it uses a structure optimized by DFT (PBE) and Cu Kα, 1.54184 Å.
No peak broadening, texture or thermal motion is included.

Peak list (6 most intense, 2θ = 10–90°, low angle first)
h k l	2theta	d [Å]	Rel. int.
1 -1 1	19.94	4.454	61
2 1 -1	27.94	3.193	61
0 1 2	28.57	3.125	100
-1 2 1	29.95	2.983	78
2 -1 1	30.17	2.962	71
1 2 -2	30.76	2.907	68

Atomic structure:
a b c (Å): 7.313 7.506 8.253
angles (deg): 103.30 102.39 93.57
Space group P1 (No. 1)
Inequivalent atoms, fractional coordinates:
Cu 0.000 0.000 0.000 [1 per cell]
Cu 0.068 0.077 0.603 [1 per cell]
Cu 0.177 0.646 0.657 [1 per cell]
Cu 0.423 0.900 0.944 [1 per cell]
Te 0.151 0.682 0.970 [1 per cell]
Te 0.239 0.339 0.484 [1 per cell]
Te 0.268 0.200 0.922 [1 per cell]
Te 0.390 0.917 0.628 [1 per cell]
Te 0.729 0.835 0.120 [1 per cell]
Te 0.755 0.127 0.418 [1 per cell]
Te 0.872 0.807 0.678 [1 per cell]
Te 0.940 0.304 0.187 [1 per cell]
I 0.483 0.584 0.296 [1 per cell]
I 0.644 0.431 0.798 [1 per cell]

***

Diffraction record for Cu7TeI12. The X-ray diffraction stick pattern is theoretical, not measured: it uses a structure optimized by DFT (PBE) and Cu Kα, 1.54184 Å.
No peak broadening, texture or thermal motion is included.

Peak list (6 most intense, 2θ = 10–90°, low angle first)
h k l	2theta	d [Å]	Rel. int.
1 3 1	26.87	3.318	39
0 0 3	27.37	3.258	14
4 -1 2	31.27	2.860	100
5 2 0	44.48	2.037	29
1 3 4	45.14	2.009	36
2 6 2	55.38	1.659	13

Atomic structure:
a b c (Å): 14.6872 14.6872 9.7744
angles (deg): 90.00 90.00 120.00
Space group R-3 (No. 148, hexagonal axes)
Inequivalent atoms, fractional coordinates:
Cu 0.0000 0.0000 0.0000 [3 per cell]
Cu 0.0600 0.8802 0.3294 [18 per cell]
Te 0.0000 0.0000 0.5000 [3 per cell]
I 0.0284 0.4532 0.1547 [18 per cell]
I 0.0730 0.8978 0.8282 [18 per cell]

***

Diffraction record for ThCu3I9. The X-ray diffraction stick pattern is theoretical, not measured: it uses a structure optimized by DFT (PBE) and Cu Kα, 1.54184 Å.
No peak broadening, texture or thermal motion is included.

Peak list (6 most intense, 2θ = 10–90°, low angle first)
h k l	2theta	d [Å]	Rel. int.
1 1 1	14.68	6.034	100
4 0 -2	16.78	5.283	31
5 1 -2	22.39	3.970	29
4 0 -4	25.77	3.457	27
4 2 0	27.25	3.272	38
8 0 0	40.83	2.210	31

Atomic structure:
a b c (Å): 21.749 9.734 13.860
angles (deg): 90.00 125.60 90.00
Space group Cc (No. 9)
Inequivalent atoms, fractional coordinates:
Th 0.000 0.250 0.000 [4 per cell]
Cu 0.128 0.122 0.813 [4 per cell]
Cu 0.249 0.399 0.749 [4 per cell]
Cu 0.372 0.122 0.687 [4 per cell]
I 0.000 0.167 0.783 [4 per cell]
I 0.105 0.000 0.127 [4 per cell]
I 0.139 0.429 0.094 [4 per cell]
I 0.227 0.312 0.900 [4 per cell]
I 0.250 0.002 0.001 [4 per cell]
I 0.272 0.309 0.599 [4 per cell]
I 0.362 0.432 0.406 [4 per cell]
I 0.396 0.001 0.874 [4 per cell]
I 0.499 0.167 0.716 [4 per cell]